No. 1
Nd3Er4: calculated XRD peak list (a wavelength of 1.5418 Å), based on a crystal structure in Alexandria, relaxed with PBE.
Peak positions follow from Bragg's law for the DFT cell and can differ from measured ones.

Crystal structure
Unit cell a=11.333 b=5.063 c=8.008 alpha=90.00 beta=98.24 gamma=90.00
Space group C2/m (No. 12)
One atom of each set of equivalent atoms:
Nd 0.000 0.000 0.000
Nd 0.214 0.500 0.147
Er 0.072 0.500 0.709
Er 0.142 0.000 0.430

Largest 6 diffraction maxima, sorted by position, 2θ from 5° to 70°:
- 30.57°, intensity 100.0, hkl 1 1 2
- 35.42°, intensity 17.1, hkl 2 0 -3
- 35.46°, intensity 33.8, hkl 4 0 1
- 50.99°, intensity 30.1, hkl 4 2 1
- 60.63°, intensity 35.7, hkl 7 1 0
- 60.68°, intensity 7.1, hkl 5 1 3

***

No. 2
Nd5Er4: calculated XRD peak list (a wavelength of 1.5418 Å), based on a crystal structure in Alexandria, relaxed with PBE.
Peak positions follow from Bragg's law for the DFT cell and can differ from measured ones.

Crystal structure
Unit cell a=10.827 b=10.827 c=5.073 alpha=90.00 beta=90.00 gamma=90.00
Space group I4/mmm (No. 139)
One atom of each set of equivalent atoms:
Nd 0.000 0.000 0.000
Nd 0.000 0.331 0.000
Er 0.167 0.167 0.500

Largest 6 diffraction maxima, sorted by position, 2θ from 5° to 70°:
- 30.39°, intensity 100.0, hkl 3 0 1
- 35.16°, intensity 33.9, hkl 3 3 0
- 35.38°, intensity 16.7, hkl 0 0 2
- 50.74°, intensity 24.1, hkl 3 3 2
- 60.16°, intensity 28.8, hkl 6 3 1
- 60.45°, intensity 14.3, hkl 3 0 3

***

No. 3
Nd4Er: calculated XRD peak list (a wavelength of 1.5418 Å), based on a crystal structure in Alexandria, relaxed with PBE.
Peak positions follow from Bragg's law for the DFT cell and can differ from measured ones.

Crystal structure
Unit cell a=6.318 b=3.647 c=14.998 alpha=90.00 beta=98.01 gamma=90.00
Space group C2/m (No. 12)
One atom of each set of equivalent atoms:
Nd 0.102 0.000 0.305
Nd 0.200 0.500 0.101
Er 0.000 0.500 0.500

Largest 6 diffraction maxima, sorted by position, 2θ from 5° to 70°:
- 30.03°, intensity 100.0, hkl 2 0 1
- 34.82°, intensity 50.6, hkl 1 1 3
- 50.03°, intensity 24.2, hkl 0 2 0
- 50.12°, intensity 11.9, hkl 1 1 -7
- 59.47°, intensity 32.4, hkl 2 2 1
- 59.56°, intensity 10.5, hkl 1 1 8

***

No. 4
NdEr4: calculated XRD peak list (a wavelength of 1.5418 Å), based on a crystal structure in Alexandria, relaxed with PBE.
Peak positions follow from Bragg's law for the DFT cell and can differ from measured ones.

Crystal structure
Unit cell a=5.395 b=16.644 c=3.505 alpha=90.00 beta=90.00 gamma=90.00
Space group Cmmm (No. 65)
One atom of each set of equivalent atoms:
Nd 0.000 0.000 0.000
Er 0.000 0.200 0.000
Er 0.000 0.388 0.500

Largest 6 diffraction maxima, sorted by position, 2θ from 5° to 70°:
- 30.89°, intensity 85.7, hkl 1 1 1
- 31.58°, intensity 100.0, hkl 1 5 0
- 33.21°, intensity 46.3, hkl 2 0 0
- 33.43°, intensity 44.1, hkl 0 4 1
- 47.84°, intensity 32.5, hkl 2 4 1
- 62.29°, intensity 35.7, hkl 1 5 2

***

No. 5
Nd6Er: calculated XRD peak list (a wavelength of 1.5418 Å), based on a crystal structure in Alexandria, relaxed with PBE.
Peak positions follow from Bragg's law for the DFT cell and can differ from measured ones.

Crystal structure
Unit cell a=6.617 b=6.617 c=11.372 alpha=90.00 beta=90.00 gamma=90.00
Space group P4/nbm (No. 125, origin choice 2)
One atom of each set of equivalent atoms:
Nd 0.082 0.582 0.140
Nd 0.250 0.250 0.363
Er 0.250 0.750 0.500

Largest 6 diffraction maxima, sorted by position, 2θ from 5° to 70°:
- 28.09°, intensity 100.0, hkl 2 0 1
- 30.35°, intensity 77.2, hkl 1 1 3
- 31.24°, intensity 63.9, hkl 2 1 1
- 34.16°, intensity 72.0, hkl 2 1 2
- 38.48°, intensity 27.0, hkl 2 2 0
- 54.45°, intensity 53.1, hkl 3 1 4

***

No. 6
Nd2Er: calculated XRD peak list (a wavelength of 1.5418 Å), based on a crystal structure in Alexandria, relaxed with PBE.
Peak positions follow from Bragg's law for the DFT cell and can differ from measured ones.

Crystal structure
Unit cell a=6.292 b=3.635 c=9.086 alpha=90.00 beta=103.30 gamma=90.00
Space group C2/m (No. 12)
One atom of each set of equivalent atoms:
Nd 0.225 0.000 0.173
Er 0.000 0.000 0.500

Largest 6 diffraction maxima, sorted by position, 2θ from 5° to 70°:
- 28.57°, intensity 36.4, hkl 2 0 -1
- 30.32°, intensity 47.6, hkl 0 0 3
- 31.47°, intensity 100.0, hkl 1 1 1
- 33.10°, intensity 77.2, hkl 1 1 -2
- 50.22°, intensity 35.6, hkl 0 2 0
- 59.80°, intensity 41.7, hkl 0 2 3

***

- Which formula does entry 3 have?
  Nd4Er